(1)
For Pr6SmHo2Tm, a structure optimized by DFT (GGA-PBE) gives the simulated X-ray powder pattern in this record (Cu Kα).
Lines closer than 0.1° are merged.

Most intense lines, 10 to 90 degrees two-theta, sorted by position:
- d 3.239, rel. 39
- d 3.187, rel. 64
- d 3.000, rel. 85
- d 2.960, rel. 100
- d 2.923, rel. 61
- d 2.913, rel. 96
- d 2.897, rel. 63
- d 2.687, rel. 59

Atomic structure:
```
Pr6SmHo2Tm
1.0
4.677 -7.698 0.000
4.677 7.698 0.000
-1.215 0.000 9.615
Pr Sm Ho Tm
12 2 4 2
Direct
0.005 0.563 0.189 Pr
0.116 0.762 0.554 Pr
0.238 0.884 0.946 Pr
0.294 0.512 0.383 Pr
0.437 0.995 0.311 Pr
0.488 0.706 0.117 Pr
0.512 0.294 0.883 Pr
0.563 0.005 0.689 Pr
0.706 0.488 0.617 Pr
0.762 0.116 0.054 Pr
0.884 0.238 0.446 Pr
0.995 0.437 0.811 Pr
0.027 0.973 0.250 Sm
0.973 0.027 0.750 Sm
0.202 0.299 0.047 Ho
0.299 0.202 0.547 Ho
0.701 0.798 0.453 Ho
0.798 0.701 0.953 Ho
0.413 0.587 0.750 Tm
0.587 0.413 0.250 Tm
```

=====

(2)
For Pr2SmHo2Tm, a structure optimized by DFT (GGA-PBE) gives the simulated X-ray powder pattern in this record (Cu Kα).
Lines closer than 0.1° are merged.

Most intense lines, 10 to 90 degrees two-theta, sorted by position:
- d 2.867, rel. 92
- d 2.841, rel. 100
- d 2.018, rel. 34
- d 1.645, rel. 35
- d 1.640, rel. 19
- d 1.498, rel. 29
- d 1.273, rel. 15
- d 1.201, rel. 14

Atomic structure:
```
Pr2SmHo2Tm
1.0
7.054 0.000 0.000
0.000 5.683 0.000
0.000 0.000 9.840
Pr Sm Ho Tm
4 2 4 2
Direct
0.000 0.000 0.000 Pr
0.250 0.500 0.180 Pr
0.500 0.000 0.000 Pr
0.750 0.500 0.820 Pr
0.250 0.000 0.656 Sm
0.750 0.000 0.344 Sm
0.250 0.000 0.331 Ho
0.250 0.500 0.836 Ho
0.750 0.000 0.669 Ho
0.750 0.500 0.164 Ho
0.000 0.500 0.500 Tm
0.500 0.500 0.500 Tm
```

=====

(3)
For PrSmYHo2, a structure optimized by DFT (GGA-PBE) gives the simulated X-ray powder pattern in this record (Cu Kα).
Lines closer than 0.1° are merged.

Most intense lines, 10 to 90 degrees two-theta, sorted by position:
- d 5.799, rel. 52
- d 3.061, rel. 57
- d 2.900, rel. 67
- d 2.737, rel. 100
- d 2.726, rel. 45
- d 2.516, rel. 59
- d 2.270, rel. 51
- d 1.990, rel. 67

Atomic structure:
```
PrSmYHo2
1.0
4.206 -5.799 0.000
4.206 5.799 0.000
0.000 0.000 7.208
Pr Sm Y Ho
2 2 2 4
Direct
0.223 0.777 0.750 Pr
0.777 0.223 0.250 Pr
0.489 0.511 0.750 Sm
0.511 0.489 0.250 Sm
0.228 0.772 0.250 Y
0.772 0.228 0.750 Y
0.188 0.188 0.000 Ho
0.188 0.188 0.500 Ho
0.812 0.812 0.000 Ho
0.812 0.812 0.500 Ho
```

=====

(4)
For Pr2Sm2Y2Ho, a structure optimized by DFT (GGA-PBE) gives the simulated X-ray powder pattern in this record (Cu Kα).
Lines closer than 0.1° are merged.

Most intense lines, 10 to 90 degrees two-theta, sorted by position:
- d 2.883, rel. 100
- d 2.039, rel. 18
- d 1.668, rel. 9
- d 1.663, rel. 29
- d 1.444, rel. 6
- d 1.440, rel. 6
- d 1.290, rel. 8
- d 1.288, rel. 8

Atomic structure:
```
Pr2Sm2Y2Ho
1.0
2.879 1.662 8.262
-2.879 1.662 8.262
0.000 -3.325 8.262
Pr Sm Y Ho
2 2 2 1
Direct
0.139 0.139 0.139 Pr
0.861 0.861 0.861 Pr
0.285 0.285 0.285 Sm
0.715 0.715 0.715 Sm
0.428 0.428 0.428 Y
0.572 0.572 0.572 Y
0.000 0.000 0.000 Ho
```

=====

(5)
For PrSm2Y6Ho2, a structure optimized by DFT (GGA-PBE) gives the simulated X-ray powder pattern in this record (Cu Kα).
Lines closer than 0.1° are merged.

Most intense lines, 10 to 90 degrees two-theta, sorted by position:
- d 2.927, rel. 24
- d 2.901, rel. 20
- d 2.861, rel. 37
- d 2.798, rel. 100
- d 2.663, rel. 20
- d 2.037, rel. 15
- d 1.949, rel. 16
- d 1.640, rel. 20

Atomic structure:
```
PrSm2Y6Ho2
1.0
2.861 -6.029 0.000
2.861 6.029 0.000
0.000 0.000 10.652
Pr Sm Y Ho
1 2 6 2
Direct
0.000 0.000 0.000 Pr
0.365 0.635 0.500 Sm
0.635 0.365 0.500 Sm
0.154 0.846 0.291 Y
0.154 0.846 0.709 Y
0.500 0.500 0.211 Y
0.500 0.500 0.789 Y
0.846 0.154 0.291 Y
0.846 0.154 0.709 Y
0.297 0.703 0.000 Ho
0.703 0.297 0.000 Ho
```

=====

(6)
For Pr6HoSn10, a structure optimized by DFT (GGA-PBE) gives the simulated X-ray powder pattern in this record (Cu Kα).
Lines closer than 0.1° are merged.

Most intense lines, 10 to 90 degrees two-theta, sorted by position:
- d 3.816, rel. 14
- d 2.792, rel. 98
- d 2.731, rel. 65
- d 2.667, rel. 100
- d 2.144, rel. 18
- d 1.908, rel. 22
- d 1.805, rel. 13
- d 1.563, rel. 24

Atomic structure:
```
Pr6HoSn10
1.0
9.461 0.000 0.000
-4.731 8.194 0.000
0.000 0.000 6.458
Pr Ho Sn
6 1 10
Direct
0.000 0.391 0.267 Pr
0.000 0.609 0.733 Pr
0.391 0.000 0.267 Pr
0.391 0.391 0.733 Pr
0.609 0.000 0.733 Pr
0.609 0.609 0.267 Pr
0.000 0.000 0.500 Ho
0.000 0.247 0.817 Sn
0.000 0.753 0.183 Sn
0.247 0.000 0.817 Sn
0.247 0.247 0.183 Sn
0.333 0.667 0.000 Sn
0.333 0.667 0.500 Sn
0.667 0.333 0.000 Sn
0.667 0.333 0.500 Sn
0.753 0.000 0.183 Sn
0.753 0.753 0.817 Sn
```

=====

(7)
For PrHo2Sn, a structure optimized by DFT (GGA-PBE) gives the simulated X-ray powder pattern in this record (Cu Kα).
Lines closer than 0.1° are merged.

Most intense lines, 10 to 90 degrees two-theta, sorted by position:
- d 3.216, rel. 29
- d 3.030, rel. 28
- d 2.923, rel. 24
- d 2.867, rel. 100
- d 2.704, rel. 48
- d 2.426, rel. 43
- d 1.591, rel. 17
- d 1.286, rel. 22

Atomic structure:
```
PrHo2Sn
1.0
2.704 -6.433 0.000
2.704 6.433 0.000
0.000 0.000 7.010
Pr Ho Sn
2 4 2
Direct
0.068 0.932 0.750 Pr
0.932 0.068 0.250 Pr
0.368 0.632 0.522 Ho
0.368 0.632 0.978 Ho
0.632 0.368 0.022 Ho
0.632 0.368 0.478 Ho
0.180 0.820 0.250 Sn
0.820 0.180 0.750 Sn
```

=====

(8)
For Tb6PrHo4, a structure optimized by DFT (GGA-PBE) gives the simulated X-ray powder pattern in this record (Cu Kα).
Lines closer than 0.1° are merged.

Most intense lines, 10 to 90 degrees two-theta, sorted by position:
- d 2.944, rel. 69
- d 2.917, rel. 57
- d 2.873, rel. 73
- d 2.800, rel. 100
- d 2.784, rel. 32
- d 2.691, rel. 56
- d 2.047, rel. 42
- d 1.600, rel. 23

Atomic structure:
```
Tb6PrHo4
1.0
2.873 -4.810 0.000
2.873 4.810 0.000
0.000 0.000 25.680
Tb Pr Ho
12 2 8
Direct
0.000 0.000 0.000 Tb
0.000 0.000 0.500 Tb
0.032 0.968 0.750 Tb
0.303 0.697 0.101 Tb
0.303 0.697 0.399 Tb
0.367 0.633 0.680 Tb
0.367 0.633 0.820 Tb
0.633 0.367 0.180 Tb
0.633 0.367 0.320 Tb
0.697 0.303 0.601 Tb
0.697 0.303 0.899 Tb
0.968 0.032 0.250 Tb
0.303 0.697 0.250 Pr
0.697 0.303 0.750 Pr
0.038 0.962 0.621 Ho
0.038 0.962 0.879 Ho
0.346 0.654 0.542 Ho
0.346 0.654 0.958 Ho
0.654 0.346 0.042 Ho
0.654 0.346 0.458 Ho
0.962 0.038 0.121 Ho
0.962 0.038 0.379 Ho
```